Diffraction record for Ba2AlTlV2O7. The powder X-ray diffraction pattern is simulated, not measured: it uses a crystal structure in the Materials Project, relaxed with GGA+U and copper Kα.
No peak broadening, texture or thermal motion is included.

Top 12 peaks for 2θ = 15–90°, in order of rising 2θ:
- 2θ 21.96, d 4.047, I 29, hkl 0 0 4
- 2θ 23.80, d 3.739, I 41, hkl 1 0 -2
- 2θ 26.18, d 3.403, I 36, hkl 1 0 2
- 2θ 26.27, d 3.392, I 65, hkl 1 0 -3
- 2θ 27.55, d 3.238, I 50, hkl 0 0 5
- 2θ 27.84, d 3.204, I 48, hkl 0 1 2
- 2θ 29.51, d 3.027, I 40, hkl 1 0 3
- 2θ 30.51, d 2.930, I 81, hkl 0 1 3
- 2θ 34.25, d 2.618, I 100, hkl 1 1 0
- 2θ 42.63, d 2.121, I 41, hkl 1 1 -5
- 2θ 46.27, d 1.962, I 25, hkl 1 1 5
- 2θ 59.58, d 1.552, I 20, hkl 1 2 -3

Cell and atoms:
```
data_Ba2AlTlV2O7
_chemical_formula_sum 'Ba2 Al1 Tl1 V2 O7'
_cell_length_a 3.9907
_cell_length_b 3.4891
_cell_length_c 16.3052
_cell_angle_alpha 90.00
_cell_angle_beta 96.83
_cell_angle_gamma 90.00
_symmetry_space_group_name_H-M 'P 1'
_symmetry_Int_Tables_number 1
_symmetry_space_group_name_Hall 'P 1'
loop_
_atom_site_label
_atom_site_type_symbol
_atom_site_fract_x
_atom_site_fract_y
_atom_site_fract_z
Ba1 Ba 0.0000 0.0000 0.0000
Ba2 Ba 0.0029 0.0000 0.4146
Al1 Al 0.0665 0.0000 0.6994
Tl1 Tl 0.5026 0.5000 0.1971
V1 V 0.4369 0.5000 0.8577
V2 V 0.5127 0.5000 0.5848
O1 O 0.3044 0.0000 0.6086
O2 O 0.3488 0.0000 0.7895
O3 O 0.4727 0.5000 0.9783
O4 O 0.5407 0.5000 0.4702
O5 O 0.7866 0.0000 0.2721
O6 O 0.8946 0.5000 0.6766
O7 O 0.9114 0.5000 0.8667
```

Diffraction record for Ba2W2F11. The powder X-ray diffraction pattern is simulated, not measured: it uses a crystal structure in the Materials Project, relaxed with GGA+U and copper Kα.
No peak broadening, texture or thermal motion is included.

Top 12 peaks for 2θ = 15–90°, in order of rising 2θ:
- 2θ 17.58, d 5.044, I 44, hkl 0 1 2
- 2θ 21.83, d 4.071, I 40, hkl 2 -1 1
- 2θ 22.75, d 3.908, I 70, hkl 0 1 3
- 2θ 24.13, d 3.689, I 28, hkl 2 0 0
- 2θ 24.55, d 3.626, I 100, hkl 1 1 2
- 2θ 24.98, d 3.564, I 48, hkl 2 0 1
- 2θ 27.41, d 3.254, I 25, hkl 2 0 2
- 2θ 28.53, d 3.129, I 35, hkl 2 -1 3
- 2θ 32.76, d 2.733, I 26, hkl 1 2 1
- 2θ 34.66, d 2.588, I 58, hkl 0 1 5
- 2θ 37.71, d 2.386, I 26, hkl 2 1 3
- 2θ 46.25, d 1.963, I 33, hkl 4 -3 2

Cell and atoms:
```
data_Ba2W2F11
_chemical_formula_sum 'Ba6 W6 F33'
_cell_length_a 8.5188
_cell_length_b 8.5188
_cell_length_c 13.8250
_cell_angle_alpha 90.00
_cell_angle_beta 90.00
_cell_angle_gamma 120.00
_symmetry_space_group_name_H-M 'P 1'
_symmetry_Int_Tables_number 1
_symmetry_space_group_name_Hall 'P 1'
loop_
_atom_site_label
_atom_site_type_symbol
_atom_site_fract_x
_atom_site_fract_y
_atom_site_fract_z
Ba1 Ba 0.1030 0.0701 0.0000
Ba2 Ba 0.5131 0.0332 0.4917
Ba3 Ba 0.5201 0.4869 0.8250
Ba4 Ba 0.9299 0.0329 0.6667
Ba5 Ba 0.9668 0.4799 0.1583
Ba6 Ba 0.9671 0.8970 0.3333
W1 W 0.2083 0.7720 0.7546
W2 W 0.2280 0.4363 0.4213
W3 W 0.4501 0.3853 0.2353
W4 W 0.5637 0.7917 0.0880
W5 W 0.6147 0.0648 0.9020
W6 W 0.9352 0.5499 0.5687
F1 F 0.0038 0.7897 0.1578
F2 F 0.0161 0.2358 0.3543
F3 F 0.0451 0.5327 0.4309
F4 F 0.0603 0.3421 0.0312
F5 F 0.1398 0.8037 0.8851
F6 F 0.1954 0.1824 0.1883
F7 F 0.1963 0.3360 0.5518
F8 F 0.2103 0.2140 0.8244
F9 F 0.2197 0.9839 0.6876
F10 F 0.2284 0.7102 0.6110
F11 F 0.2439 0.5667 0.7821
F12 F 0.2818 0.9397 0.3645
F13 F 0.2898 0.5182 0.2777
F14 F 0.3228 0.7561 0.1154
F15 F 0.3781 0.3108 0.3869
F16 F 0.4280 0.1306 0.9594
F17 F 0.4333 0.6772 0.4487
F18 F 0.4673 0.5124 0.0976
F19 F 0.4818 0.7716 0.9444
F20 F 0.4876 0.9549 0.7643
F21 F 0.6068 0.2845 0.1801
F22 F 0.6579 0.7182 0.6978
F23 F 0.6640 0.8602 0.2184
F24 F 0.6777 0.3932 0.5134
F25 F 0.6892 0.0673 0.0536
F26 F 0.7026 0.5720 0.2927
F27 F 0.7155 0.3223 0.8467
F28 F 0.7642 0.7803 0.0210
F29 F 0.7860 0.9962 0.4911
F30 F 0.8176 0.0129 0.8549
F31 F 0.8694 0.2974 0.6261
F32 F 0.9327 0.6219 0.7202
F33 F 0.9871 0.8046 0.5216
```